Entry 1:
Diffraction record for Dy4HgRh2. The powder XRD pattern is theoretical, not measured: it uses the PBE geometry in Alexandria and Cu Ka.
Neutral-atom scattering factors, no anomalous dispersion.

Peak list (8 most intense, 15° ≤ 2θ ≤ 90°, by angle)
two_theta	I (rel.)
29.2	37
29.4	28
32.2	100
33.3	84
33.6	50
34.5	27
36.4	60
40.7	32

Atomic structure:
Unit cell a=8.3973 b=8.3973 c=6.9920 alpha=107.76 beta=107.76 gamma=119.45
Positions (direct):
Dy  0.0095  0.9905  0.5000
Dy  0.0445  0.4636  0.3144
Dy  0.3103  0.8634  0.1743
Dy  0.4446  0.5895  0.8434
Dy  0.4636  0.0445  0.8144
Dy  0.5895  0.4446  0.3434
Dy  0.8634  0.3103  0.6743
Dy  0.9905  0.0095  0.0000
Hg  0.5605  0.7971  0.5161
Hg  0.7971  0.5605  0.0161
Rh  0.0463  0.7257  0.7022
Rh  0.2189  0.3909  0.0189
Rh  0.3909  0.2189  0.5189
Rh  0.7257  0.0463  0.2022


Entry 2:
Diffraction record for BaNpB2S6. The powder XRD pattern is theoretical, not measured: it uses the PBE geometry in Alexandria and Cu Ka.
Neutral-atom scattering factors, no anomalous dispersion.

Peak list (8 most intense, 15° ≤ 2θ ≤ 90°, by angle)
two_theta	I (rel.)
18.1	88
19.3	49
21.9	74
24.1	100
28.7	41
36.2	38
36.4	40
40.3	54

Atomic structure:
Unit cell a=7.8114 b=7.8114 c=8.4831 alpha=100.08 beta=100.08 gamma=104.02
Positions (direct):
Ba  0.1424  0.8576  0.7500
Ba  0.8576  0.1424  0.2500
Np  0.4296  0.5704  0.2500
Np  0.5704  0.4296  0.7500
B  0.1275  0.3895  0.7480
B  0.3895  0.1275  0.2480
B  0.6105  0.8725  0.7520
B  0.8725  0.6105  0.2520
S  0.0869  0.5578  0.2759
S  0.1859  0.2288  0.6036
S  0.2288  0.1859  0.1036
S  0.3150  0.5471  0.9086
S  0.4422  0.9131  0.2241
S  0.4529  0.6850  0.5914
S  0.5471  0.3150  0.4086
S  0.5578  0.0869  0.7759
S  0.6850  0.4529  0.0914
S  0.7712  0.8141  0.8964
S  0.8141  0.7712  0.3964
S  0.9131  0.4422  0.7241